Computed powder diffractogram
Compound: AcPH2Pd2
Radiation: λ = 1.5418 Å (Cu Kα)
Structure: a DFT-relaxed cell (GGA-PBE, Alexandria)
Peak positions follow from Bragg's law for the DFT cell and can differ from measured ones.

```
data_AcPH2Pd2
_cell_length_a 5.966
_cell_length_b 5.565
_cell_length_c 6.137
_cell_angle_alpha 90.00
_cell_angle_beta 104.02
_cell_angle_gamma 90.00
_space_group_name_H-M_alt 'P 1 21/m 1'
_space_group_IT_number 11
_space_group_name_Hall '-P 2yb'
loop_
_atom_site_label
_atom_site_type_symbol
_atom_site_fract_x
_atom_site_fract_y
_atom_site_fract_z
Ac1 Ac 0.186 0.250 0.283
P1 P 0.322 0.750 0.116
H1 H 0.127 0.250 0.717
H2 H 0.251 0.750 0.601
Pd1 Pd 0.326 0.002 0.791
```

Top 10 peaks for 10° ≤ 2θ ≤ 80°, sorted by position:
| two_theta | d/Å | I (rel.) | h k l |
| --- | --- | --- | --- |
| 21.9 | 4.066 | 89 | 0 1 1 |
| 22.2 | 4.012 | 72 | 1 1 0 |
| 24.6 | 3.620 | 44 | 1 1 -1 |
| 30.0 | 2.977 | 85 | 0 0 2 |
| 30.9 | 2.893 | 92 | 2 0 0 |
| 34.9 | 2.567 | 36 | 2 1 0 |
| 37.4 | 2.403 | 100 | 1 2 -1 |
| 37.7 | 2.385 | 51 | 2 0 1 |
| 40.5 | 2.229 | 82 | 1 2 1 |
| 41.2 | 2.192 | 36 | 2 1 -2 |

Computed powder diffractogram
Compound: AcPH2Ru2
Radiation: λ = 1.5418 Å (Cu Kα)
Structure: a DFT-relaxed cell (GGA-PBE, Alexandria)
Peak positions follow from Bragg's law for the DFT cell and can differ from measured ones.

```
data_AcPH2Ru2
_cell_length_a 5.826
_cell_length_b 10.632
_cell_length_c 5.762
_cell_angle_alpha 90.00
_cell_angle_beta 90.00
_cell_angle_gamma 90.00
_space_group_name_H-M_alt 'C m c m'
_space_group_IT_number 63
_space_group_name_Hall '-C 2c 2'
loop_
_atom_site_label
_atom_site_type_symbol
_atom_site_fract_x
_atom_site_fract_y
_atom_site_fract_z
Ac1 Ac 0.000 0.247 0.250
P1 P 0.000 0.099 0.750
H1 H 0.163 0.411 0.750
Ru1 Ru 0.237 0.500 0.000
```

Top 10 peaks for 10° ≤ 2θ ≤ 80°, sorted by position:
| two_theta | d/Å | I (rel.) | h k l |
| --- | --- | --- | --- |
| 23.3 | 3.823 | 100 | 1 1 1 |
| 33.4 | 2.680 | 64 | 1 3 1 |
| 33.7 | 2.658 | 40 | 0 4 0 |
| 35.1 | 2.555 | 76 | 2 2 0 |
| 35.4 | 2.533 | 75 | 0 2 2 |
| 44.2 | 2.048 | 48 | 2 0 2 |
| 48.2 | 1.887 | 18 | 1 5 1 |
| 56.7 | 1.622 | 50 | 2 4 2 |
| 61.2 | 1.514 | 18 | 2 6 0 |
| 61.4 | 1.509 | 18 | 0 6 2 |

Computed powder diffractogram
Compound: Ac3H2Pb2
Radiation: λ = 1.5418 Å (Cu Kα)
Structure: a DFT-relaxed cell (GGA-PBE, Alexandria)
Peak positions follow from Bragg's law for the DFT cell and can differ from measured ones.

```
data_Ac3H2Pb2
_cell_length_a 7.150
_cell_length_b 8.778
_cell_length_c 7.458
_cell_angle_alpha 90.00
_cell_angle_beta 119.42
_cell_angle_gamma 90.00
_space_group_name_H-M_alt 'P 1 21/c 1'
_space_group_IT_number 14
_space_group_name_Hall '-P 2ybc'
loop_
_atom_site_label
_atom_site_type_symbol
_atom_site_fract_x
_atom_site_fract_y
_atom_site_fract_z
Ac1 Ac 0.000 0.000 0.000
Ac2 Ac 0.345 0.088 0.701
H1 H 0.350 0.121 0.067
Pb1 Pb 0.234 0.728 0.888
```

Top 10 peaks for 10° ≤ 2θ ≤ 80°, sorted by position:
| two_theta | d/Å | I (rel.) | h k l |
| --- | --- | --- | --- |
| 17.5 | 5.079 | 29 | 1 1 0 |
| 24.5 | 3.637 | 60 | 0 2 1 |
| 26.2 | 3.395 | 74 | 1 1 1 |
| 26.9 | 3.311 | 99 | 2 1 -1 |
| 29.3 | 3.046 | 55 | 0 1 2 |
| 30.1 | 2.965 | 66 | 2 1 -2 |
| 31.5 | 2.841 | 100 | 1 2 -2 |
| 33.8 | 2.648 | 76 | 1 3 0 |
| 35.3 | 2.540 | 34 | 2 2 0 |
| 43.7 | 2.071 | 30 | 1 4 -1 |

Computed powder diffractogram
Compound: AcH6Rh3Pb
Radiation: λ = 1.5418 Å (Cu Kα)
Structure: a DFT-relaxed cell (GGA-PBE, Alexandria)
Peak positions follow from Bragg's law for the DFT cell and can differ from measured ones.

```
data_AcH6Rh3Pb
_cell_length_a 7.4978
_cell_length_b 7.4978
_cell_length_c 8.5048
_cell_angle_alpha 90.00
_cell_angle_beta 90.00
_cell_angle_gamma 120.00
_space_group_name_H-M_alt 'R 3'
_space_group_IT_number 146
_space_group_name_Hall 'R 3'
loop_
_atom_site_label
_atom_site_type_symbol
_atom_site_fract_x
_atom_site_fract_y
_atom_site_fract_z
Ac1 Ac 0.0000 0.0000 0.0000
H1 H 0.0570 0.3398 0.8201
H2 H 0.1517 0.7041 0.9383
Rh1 Rh 0.0456 0.2552 0.3377
Pb1 Pb 0.0000 0.0000 0.5914
```

Top 10 peaks for 10° ≤ 2θ ≤ 80°, sorted by position:
| two_theta | d/Å | I (rel.) | h k l |
| --- | --- | --- | --- |
| 23.7 | 3.749 | 100 | 1 1 0 |
| 25.0 | 3.557 | 34 | 0 1 2 |
| 29.4 | 3.033 | 25 | 0 2 1 |
| 31.6 | 2.835 | 40 | 0 0 3 |
| 34.8 | 2.581 | 71 | 2 0 2 |
| 38.2 | 2.358 | 42 | 2 1 1 |
| 39.9 | 2.261 | 37 | 2 -1 3 |
| 41.7 | 2.164 | 32 | 3 0 0 |
| 42.5 | 2.126 | 70 | 1 2 2 |
| 65.9 | 1.417 | 30 | 1 4 0 |

What is the formula in the fourth record? AcH6Rh3Pb